# FeHg2Os
Theoretical powder X-ray diffraction pattern, a wavelength of 1.5418 Å. Input: DFT lattice parameters and positions (PBE).
Lines closer than 0.1° are merged.

Crystal structure
Unit cell a=2.890 b=2.853 c=8.621 alpha=90.00 beta=99.57 gamma=90.00
Positions (direct):
Fe 0.000 0.000 0.000
Hg 0.211 0.000 0.430
Hg 0.379 0.500 0.756
Os 0.582 0.500 0.165

Principal peaks in the range 2θ from 15° to 90°, in order of rising 2θ:
31.40°, I = 56
31.57°, I = 51
33.12°, I = 30
37.98°, I = 100
40.99°, I = 82
44.97°, I = 74
52.50°, I = 26
67.76°, I = 36
77.37°, I = 26
80.17°, I = 24